[1]
Theoretical powder diffraction line list of Ce3TlZn for Cu Kα, 1.54184 Å, from a structure optimized by DFT (PBE).
No peak broadening, texture or thermal motion is included.

Main lines, in order of falling intensity (10 to 90 degrees two-theta):
2θ = 39.23°, I 100, hkl 1 4 1
2θ = 34.86°, I 79, hkl 1 0 3
2θ = 33.12°, I 67, hkl 2 1 1
2θ = 26.95°, I 57, hkl 0 2 2
2θ = 32.51°, I 49, hkl 0 1 3
2θ = 36.61°, I 47, hkl 1 3 2
2θ = 36.88°, I 44, hkl 2 0 2
2θ = 27.73°, I 42, hkl 0 3 1
2θ = 30.16°, I 40, hkl 2 0 0
2θ = 55.84°, I 30, hkl 1 0 5

Structure:
```
data_Ce3TlZn
_cell_length_a 5.9265
_cell_length_b 10.4134
_cell_length_c 8.5677
_cell_angle_alpha 90.00
_cell_angle_beta 90.00
_cell_angle_gamma 90.00
_space_group_name_H-M_alt 'I m m a'
_space_group_IT_number 74
_space_group_name_Hall '-I 2b 2'
loop_
_atom_site_label
_atom_site_fract_x
_atom_site_fract_y
_atom_site_fract_z
Ce1 0.0000 0.1154 0.1202
Ce2 0.2500 0.2500 0.7500
Tl1 0.0000 0.0000 0.5000
Zn1 0.0000 0.2500 0.4250
```



[2]
Theoretical powder diffraction line list of CeZr4Tl5 for Cu Kα, 1.54184 Å, from a structure optimized by DFT (PBE).
No peak broadening, texture or thermal motion is included.

Main lines, in order of falling intensity (10 to 90 degrees two-theta):
2θ = 35.83°, I 100, hkl 1 0 5
2θ = 32.99°, I 71, hkl 1 1 0
2θ = 60.77°, I 46, hkl 2 1 5
2θ = 47.35°, I 26, hkl 2 0 0
2θ = 23.16°, I 17, hkl 1 0 0
2θ = 78.82°, I 12, hkl 3 1 0
2θ = 66.15°, I 11, hkl 1 1 10
2θ = 80.45°, I 10, hkl 3 0 5
2θ = 69.20°, I 8, hkl 2 2 0
2θ = 75.93°, I 7, hkl 2 0 10

Structure:
```
data_CeZr4Tl5
_cell_length_a 3.8401
_cell_length_b 3.8401
_cell_length_c 16.5414
_cell_angle_alpha 90.00
_cell_angle_beta 90.00
_cell_angle_gamma 90.00
_space_group_name_H-M_alt 'P 4/m m m'
_space_group_IT_number 123
_space_group_name_Hall '-P 4 2'
loop_
_atom_site_label
_atom_site_fract_x
_atom_site_fract_y
_atom_site_fract_z
Ce1 0.0000 0.0000 0.0000
Zr1 0.0000 0.0000 0.2168
Zr2 0.0000 0.0000 0.4034
Tl1 0.5000 0.5000 0.1172
Tl2 0.5000 0.5000 0.3088
Tl3 0.5000 0.5000 0.5000
```



[3]
Theoretical powder diffraction line list of CeTm5 for Cu Kα, 1.54184 Å, from a structure optimized by DFT (PBE).
No peak broadening, texture or thermal motion is included.

Main lines, in order of falling intensity (10 to 90 degrees two-theta):
2θ = 32.51°, I 100, hkl 2 0 0
2θ = 32.16°, I 94, hkl 1 2 1
2θ = 46.38°, I 34, hkl 2 2 2
2θ = 64.00°, I 29, hkl 2 4 0
2θ = 57.75°, I 23, hkl 2 2 4
2θ = 57.86°, I 18, hkl 0 0 6
2θ = 82.82°, I 14, hkl 3 4 3
2θ = 58.04°, I 13, hkl 3 0 3
2θ = 77.26°, I 10, hkl 3 2 5
2θ = 42.09°, I 9, hkl 2 2 0

Structure:
```
data_CeTm5
_cell_length_a 5.5020
_cell_length_b 6.8535
_cell_length_c 9.5530
_cell_angle_alpha 90.00
_cell_angle_beta 90.00
_cell_angle_gamma 90.00
_space_group_name_H-M_alt 'I m m 2'
_space_group_IT_number 44
loop_
_space_group_symop_operation_xyz
'x,y,z'
'-x,-y,z'
'-x,y,z'
'x,-y,z'
'x+1/2,y+1/2,z+1/2'
'-x+1/2,-y+1/2,z+1/2'
'-x+1/2,y+1/2,z+1/2'
'x+1/2,-y+1/2,z+1/2'
loop_
_atom_site_label
_atom_site_fract_x
_atom_site_fract_y
_atom_site_fract_z
Ce1 0.0000 0.0000 0.0000
Tm1 0.0000 0.0000 0.3343
Tm2 0.0000 0.2494 0.6776
Tm3 0.0000 0.5000 0.0194
Tm4 0.0000 0.5000 0.3529
```



[4]
Theoretical powder diffraction line list of Ce3Tm for Cu Kα, 1.54184 Å, from a structure optimized by DFT (PBE).
No peak broadening, texture or thermal motion is included.

Main lines, in order of falling intensity (10 to 90 degrees two-theta):
2θ = 32.23°, I 100, hkl 1 1 2
2θ = 37.66°, I 33, hkl 2 0 0
2θ = 64.59°, I 27, hkl 3 1 2
2θ = 53.70°, I 24, hkl 2 0 4
2θ = 36.83°, I 17, hkl 0 0 4
2θ = 63.46°, I 14, hkl 1 1 6
2θ = 88.28°, I 12, hkl 3 1 6
2θ = 67.44°, I 12, hkl 2 2 4
2θ = 54.32°, I 11, hkl 2 2 0
2θ = 89.29°, I 6, hkl 3 3 2

Structure:
```
data_Ce3Tm
_cell_length_a 4.7765
_cell_length_b 4.7765
_cell_length_c 9.7620
_cell_angle_alpha 90.00
_cell_angle_beta 90.00
_cell_angle_gamma 90.00
_space_group_name_H-M_alt 'I 4/m m m'
_space_group_IT_number 139
_space_group_name_Hall '-I 4 2'
loop_
_atom_site_label
_atom_site_fract_x
_atom_site_fract_y
_atom_site_fract_z
Ce1 0.0000 0.0000 0.0000
Ce2 0.0000 0.5000 0.2500
Tm1 0.0000 0.0000 0.5000
```



[5]
Theoretical powder diffraction line list of Ce4Tm for Cu Kα, 1.54184 Å, from a structure optimized by DFT (PBE).
No peak broadening, texture or thermal motion is included.

Main lines, in order of falling intensity (10 to 90 degrees two-theta):
2θ = 31.59°, I 100, hkl 2 0 0
2θ = 45.28°, I 74, hkl 2 2 0
2θ = 27.27°, I 57, hkl 1 1 1
2θ = 74.99°, I 33, hkl 4 2 0
2θ = 15.64°, I 29, hkl 1 0 0
2θ = 56.26°, I 26, hkl 2 2 2
2θ = 22.20°, I 26, hkl 1 1 0
2θ = 53.67°, I 26, hkl 3 1 1
2θ = 83.64°, I 25, hkl 4 2 2
2θ = 35.44°, I 16, hkl 2 1 0

Structure:
```
data_Ce4Tm
_cell_length_a 5.6642
_cell_length_b 5.6642
_cell_length_c 5.6642
_cell_angle_alpha 90.00
_cell_angle_beta 90.00
_cell_angle_gamma 90.00
_space_group_name_H-M_alt 'P m -3 m'
_space_group_IT_number 221
_space_group_name_Hall '-P 4 2 3'
loop_
_atom_site_label
_atom_site_fract_x
_atom_site_fract_y
_atom_site_fract_z
Ce1 0.0000 0.0000 0.0000
Ce2 0.0000 0.5000 0.5000
Tm1 0.5000 0.5000 0.5000
```



[6]
Theoretical powder diffraction line list of CeY3Tm6 for Cu Kα, 1.54184 Å, from a structure optimized by DFT (PBE).
No peak broadening, texture or thermal motion is included.

Main lines, in order of falling intensity (10 to 90 degrees two-theta):
2θ = 32.26°, I 100, hkl 0 2 3
2θ = 30.09°, I 41, hkl 2 2 2
2θ = 30.92°, I 41, hkl 3 1 1
2θ = 33.00°, I 26, hkl 1 5 1
2θ = 28.44°, I 24, hkl 1 3 2
2θ = 35.57°, I 20, hkl 3 1 2
2θ = 30.60°, I 17, hkl 2 4 0
2θ = 59.13°, I 12, hkl 6 0 0
2θ = 37.45°, I 12, hkl 0 6 1
2θ = 15.44°, I 11, hkl 0 2 1

Structure:
```
data_CeY3Tm6
_cell_length_a 9.3648
_cell_length_b 14.9522
_cell_length_c 8.9531
_cell_angle_alpha 90.00
_cell_angle_beta 90.00
_cell_angle_gamma 90.00
_space_group_name_H-M_alt 'C m c 21'
_space_group_IT_number 36
loop_
_space_group_symop_operation_xyz
'x,y,z'
'-x,-y,z+1/2'
'-x,y,z'
'x,-y,z+1/2'
'x+1/2,y+1/2,z'
'-x+1/2,-y+1/2,z+1/2'
'-x+1/2,y+1/2,z'
'x+1/2,-y+1/2,z+1/2'
loop_
_atom_site_label
_atom_site_fract_x
_atom_site_fract_y
_atom_site_fract_z
Ce1 0.0000 0.2330 0.0000
Y1 0.0000 0.4595 0.0697
Y2 0.1714 0.1423 0.5588
Tm1 0.0000 0.0584 0.2042
Tm2 0.0000 0.2957 0.3517
Tm3 0.1792 0.3490 0.7226
Tm4 0.2242 0.0644 0.8938
```